(1)
Starting from a structure optimized by DFT (PBE+U), the XRD peak list of Li3MnVP3O12 was calculated for Cu Kα (weighted mean of Kα1 and Kα2).
Peak positions follow from Bragg's law for the DFT cell and can differ from measured ones.

Atomic structure:
Cell: 8.3886 8.4195 9.2341 Å, 116.84 90.35 119.55°
Element x y z (fractional)
1 Li 0.1784 0.1235 0.3747
2 Li 0.2548 0.6956 0.8740
3 Li 0.3203 0.5585 0.1364
4 Li 0.6797 0.4415 0.8636
5 Li 0.7452 0.3044 0.1260
6 Li 0.8216 0.8765 0.6253
7 Mn 0.1403 0.7842 0.4348
8 Mn 0.8597 0.2158 0.5652
9 V 0.3441 0.1854 0.0331
10 V 0.6559 0.8146 0.9669
11 P 0.0491 0.2790 0.2445
12 P 0.2633 0.3106 0.7595
13 P 0.4597 0.0086 0.2474
14 P 0.5403 0.9914 0.7526
15 P 0.7367 0.6894 0.2405
16 P 0.9509 0.7210 0.7555
17 O 0.0502 0.2874 0.4130
18 O 0.1311 0.4915 0.2529
19 O 0.1391 0.3967 0.7641
20 O 0.1633 0.8747 0.8783
21 O 0.1708 0.1834 0.1702
22 O 0.2123 0.1216 0.5854
23 O 0.2331 0.2420 0.8969
24 O 0.2608 0.9194 0.2736
25 O 0.3749 0.8612 0.5974
26 O 0.4565 0.8092 0.0995
27 O 0.4817 0.4937 0.8208
28 O 0.4834 0.1523 0.1702
29 O 0.5166 0.8477 0.8298
30 O 0.5183 0.5063 0.1792
31 O 0.5435 0.1908 0.9005
32 O 0.6251 0.1388 0.4026
33 O 0.7392 0.0806 0.7264
34 O 0.7669 0.7580 0.1031
35 O 0.7877 0.8784 0.4146
36 O 0.8292 0.8166 0.8298
37 O 0.8367 0.1253 0.1217
38 O 0.8609 0.6033 0.2359
39 O 0.8689 0.5085 0.7471
40 O 0.9498 0.7126 0.5870

Largest 12 diffraction maxima, most intense first, 2θ = 15–90°:
d/Å	I_rel
4.590	100
3.726	88
3.701	83
2.888	46
2.876	39
2.864	36
3.103	30
3.123	23
3.083	21
2.433	14
1.528	14
2.325	14

(2)
Starting from a structure optimized by DFT (PBE+U), the XRD peak list of Li6MnV3P6O24 was calculated for Cu Kα (weighted mean of Kα1 and Kα2).
Peak positions follow from Bragg's law for the DFT cell and can differ from measured ones.

Atomic structure:
Cell: 8.5601 8.5789 8.6278 Å, 62.15 62.26 62.43°
Element x y z (fractional)
1 Li 0.0000 0.0000 0.0000
2 Li 0.0821 0.8764 0.5220
3 Li 0.1791 0.3816 0.4353
4 Li 0.3713 0.7241 0.1552
5 Li 0.6194 0.5646 0.8139
6 Li 0.8243 0.2330 0.6592
7 Mn 0.9935 0.3757 0.8134
8 V 0.1976 0.5780 0.0142
9 V 0.4859 0.8714 0.2998
10 V 0.7015 0.0858 0.5184
11 P 0.0935 0.1696 0.2128
12 P 0.3000 0.9699 0.6982
13 P 0.3991 0.4735 0.6028
14 P 0.5884 0.2665 0.1209
15 P 0.7871 0.7775 0.9106
16 P 0.8857 0.6881 0.4078
17 O 0.0355 0.1840 0.0627
18 O 0.0761 0.6584 0.2513
19 O 0.1136 0.1303 0.7152
20 O 0.1516 0.3339 0.1697
21 O 0.2427 0.4219 0.6160
22 O 0.2507 0.9761 0.2419
23 O 0.2761 0.8123 0.8911
24 O 0.3261 0.9073 0.5426
25 O 0.3555 0.5268 0.7689
26 O 0.4175 0.6420 0.4173
27 O 0.4345 0.4612 0.0933
28 O 0.4690 0.0161 0.6589
29 O 0.5121 0.1096 0.1721
30 O 0.5885 0.3166 0.5869
31 O 0.5991 0.8105 0.0692
32 O 0.6474 0.2306 0.2789
33 O 0.7195 0.7477 0.3442
34 O 0.7463 0.2716 0.9337
35 O 0.7947 0.6244 0.8595
36 O 0.7950 0.9595 0.7439
37 O 0.8701 0.8429 0.4643
38 O 0.8886 0.5005 0.5668
39 O 0.9430 0.1498 0.4073
40 O 0.9544 0.7246 0.9701

Largest 12 diffraction maxima, most intense first, 2θ = 15–90°:
d/Å	I_rel
3.722	100
3.744	98
4.280	56
2.564	44
4.441	38
2.879	35
1.679	31
3.092	31
4.308	29
2.722	23
2.733	22
2.712	20

(3)
Starting from a structure optimized by DFT (PBE+U), the XRD peak list of Li3MnVP3O12 was calculated for Cu Kα (weighted mean of Kα1 and Kα2).
Peak positions follow from Bragg's law for the DFT cell and can differ from measured ones.

Atomic structure:
Cell: 8.7399 8.7399 8.6526 Å, 119.19 119.19 60.56°
Element x y z (fractional)
1 Li 0.0771 0.9229 0.5000
2 Li 0.1958 0.4544 0.5426
3 Li 0.4544 0.1958 0.0426
4 Li 0.4659 0.7740 0.9651
5 Li 0.7740 0.4659 0.4651
6 Li 0.9229 0.0771 0.0000
7 Mn 0.1646 0.6617 0.9285
8 Mn 0.6617 0.1646 0.4285
9 V 0.4578 0.9621 0.6498
10 V 0.9621 0.4578 0.1498
11 P 0.0623 0.2850 0.7441
12 P 0.2850 0.0623 0.2441
13 P 0.3400 0.5685 0.3273
14 P 0.5685 0.3400 0.8273
15 P 0.7653 0.8647 0.0465
16 P 0.8647 0.7653 0.5465
17 O 0.0529 0.7499 0.7150
18 O 0.0601 0.3364 0.9384
19 O 0.0917 0.2161 0.2091
20 O 0.1001 0.4337 0.7295
21 O 0.1957 0.5212 0.3390
22 O 0.2161 0.0917 0.7091
23 O 0.2665 0.8792 0.0818
24 O 0.2873 0.5568 0.1241
25 O 0.3316 0.7645 0.4724
26 O 0.3364 0.0602 0.4384
27 O 0.4260 0.5366 0.8685
28 O 0.4337 0.1001 0.2295
29 O 0.5212 0.1957 0.8390
30 O 0.5366 0.4260 0.3685
31 O 0.5568 0.2873 0.6241
32 O 0.5698 0.8875 0.8909
33 O 0.7004 0.8041 0.5975
34 O 0.7499 0.0529 0.2150
35 O 0.7645 0.3316 0.9724
36 O 0.8041 0.7004 0.0975
37 O 0.8462 0.9166 0.4906
38 O 0.8792 0.2665 0.5818
39 O 0.8875 0.5698 0.3909
40 O 0.9166 0.8462 0.9906

Largest 12 diffraction maxima, most intense first, 2θ = 15–90°:
d/Å	I_rel
3.717	100
3.740	92
2.541	81
3.756	78
4.369	74
3.087	67
4.404	55
4.326	54
2.860	46
2.773	43
3.115	36
2.741	32